GdDyC4: computed powder X-ray diffraction pattern (Cu Kα (λ = 1.5418 Å)), based on a structure optimized by DFT (GGA-PBE).
Peak positions follow from Bragg's law for the DFT cell and can differ from measured ones.

Structure:
```
data_GdDyC4
_chemical_formula_sum 'Gd2 Dy2 C8'
_symmetry_space_group_name_H-M 'C m m m'
_symmetry_Int_Tables_number 65
_symmetry_space_group_name_Hall '-C 2 2'
_cell_length_a 5.2421
_cell_length_b 6.2454
_cell_length_c 5.2472
_cell_angle_alpha 90.00
_cell_angle_beta 90.00
_cell_angle_gamma 90.00
loop_
_atom_site_label
_atom_site_fract_x
_atom_site_fract_y
_atom_site_fract_z
Gd1 0.0000 0.0000 0.0000
Dy1 0.0000 0.5000 0.5000
C1 0.0000 0.1042 0.5000
C2 0.0000 0.3960 0.0000
```

Peak list (10 most intense, 2θ from 10° to 90°, by angle)
d = 3.189 Å, I 100
d = 3.123 Å, I 33
d = 2.622 Å, I 49
d = 2.008 Å, I 37
d = 1.854 Å, I 17
d = 1.815 Å, I 28
d = 1.603 Å, I 29
d = 1.594 Å, I 18
d = 1.297 Å, I 18
d = 1.098 Å, I 11

Dy5Ge3C: computed powder X-ray diffraction pattern (Cu Kα (λ = 1.5418 Å)), based on a structure optimized by DFT (GGA-PBE).
Peak positions follow from Bragg's law for the DFT cell and can differ from measured ones.

Structure:
```
data_Dy5Ge3C
_chemical_formula_sum 'Dy20 Ge12 C4'
_symmetry_space_group_name_H-M 'C m c m'
_symmetry_Int_Tables_number 63
_symmetry_space_group_name_Hall '-C 2c 2'
_cell_length_a 14.8026
_cell_length_b 8.5194
_cell_length_c 6.4422
_cell_angle_alpha 90.00
_cell_angle_beta 90.00
_cell_angle_gamma 90.00
loop_
_atom_site_label
_atom_site_fract_x
_atom_site_fract_y
_atom_site_fract_z
Dy1 0.0000 0.2207 0.2500
Dy2 0.1115 0.1108 0.7500
Dy3 0.1673 0.5000 0.0000
Ge1 0.0001 0.4082 0.7502
Ge2 0.2034 0.2033 0.2500
C1 0.0000 0.0000 0.0000
```

Peak list (10 most intense, 2θ from 10° to 90°, by angle)
d = 2.953 Å, I 35
d = 2.793 Å, I 43
d = 2.569 Å, I 100
d = 2.561 Å, I 67
d = 2.463 Å, I 20
d = 1.779 Å, I 21
d = 1.702 Å, I 29
d = 1.611 Å, I 23
d = 1.395 Å, I 12
d = 1.342 Å, I 13

Dy7C2I12O: computed powder X-ray diffraction pattern (Cu Kα (λ = 1.5418 Å)), based on a structure optimized by DFT (GGA-PBE).
Peak positions follow from Bragg's law for the DFT cell and can differ from measured ones.

Structure:
```
data_Dy7C2I12O
_chemical_formula_sum 'Dy14 C4 I24 O2'
_symmetry_space_group_name_H-M 'P -1'
_symmetry_Int_Tables_number 2
_symmetry_space_group_name_Hall '-P 1'
_cell_length_a 9.9365
_cell_length_b 10.5990
_cell_length_c 16.9944
_cell_angle_alpha 101.58
_cell_angle_beta 92.90
_cell_angle_gamma 112.97
loop_
_atom_site_label
_atom_site_fract_x
_atom_site_fract_y
_atom_site_fract_z
Dy1 0.0247 0.4404 0.1858
Dy2 0.0451 0.2532 0.6898
Dy3 0.1424 0.4510 0.9801
Dy4 0.1642 0.5481 0.3865
Dy5 0.2216 0.7591 0.1570
Dy6 0.3684 0.8830 0.3572
Dy7 0.4345 0.5714 0.2374
C1 0.1358 0.6790 0.2817
C2 0.2539 0.6384 0.2640
I1 0.0439 0.1508 0.8523
I2 0.0609 0.7476 0.6989
I3 0.1062 0.3981 0.5504
I4 0.1611 0.0262 0.4104
I5 0.1920 0.8030 0.9715
I6 0.2260 0.2963 0.1079
I7 0.2841 0.5298 0.8161
I8 0.3251 0.1539 0.6655
I9 0.3759 0.8022 0.5188
I10 0.4044 0.4299 0.3734
I11 0.4489 0.0547 0.2290
I12 0.4631 0.6755 0.0738
O1 0.0572 0.5469 0.0813
```

Peak list (10 most intense, 2θ from 10° to 90°, by angle)
d = 8.488 Å, I 60
d = 3.144 Å, I 100
d = 3.073 Å, I 90
d = 3.061 Å, I 85
d = 2.616 Å, I 20
d = 2.202 Å, I 74
d = 2.193 Å, I 24
d = 2.186 Å, I 29
d = 2.136 Å, I 24
d = 1.572 Å, I 16

Dy3InC: computed powder X-ray diffraction pattern (Cu Kα (λ = 1.5418 Å)), based on a structure optimized by DFT (GGA-PBE).
Peak positions follow from Bragg's law for the DFT cell and can differ from measured ones.

Structure:
```
data_Dy3InC
_chemical_formula_sum 'Dy3 In1 C1'
_symmetry_space_group_name_H-M 'P m -3 m'
_symmetry_Int_Tables_number 221
_symmetry_space_group_name_Hall '-P 4 2 3'
_cell_length_a 4.9233
_cell_length_b 4.9233
_cell_length_c 4.9233
_cell_angle_alpha 90.00
_cell_angle_beta 90.00
_cell_angle_gamma 90.00
loop_
_atom_site_label
_atom_site_fract_x
_atom_site_fract_y
_atom_site_fract_z
Dy1 0.0000 0.0000 0.5000
In1 0.5000 0.5000 0.5000
C1 0.0000 0.0000 0.0000
```

Peak list (10 most intense, 2θ from 10° to 90°, by angle)
d = 4.923 Å, I 3
d = 2.842 Å, I 100
d = 2.462 Å, I 54
d = 2.202 Å, I 1
d = 1.741 Å, I 38
d = 1.484 Å, I 42
d = 1.421 Å, I 13
d = 1.231 Å, I 6
d = 1.129 Å, I 18
d = 1.101 Å, I 18

KDyC2O6: computed powder X-ray diffraction pattern (Cu Kα (λ = 1.5418 Å)), based on a structure optimized by DFT (GGA-PBE).
Peak positions follow from Bragg's law for the DFT cell and can differ from measured ones.

Structure:
```
data_KDyC2O6
_chemical_formula_sum 'K4 Dy4 C8 O24'
_symmetry_space_group_name_H-M 'C 1 2/c 1'
_symmetry_Int_Tables_number 15
_symmetry_space_group_name_Hall '-C 2yc'
_cell_length_a 8.4970
_cell_length_b 9.6325
_cell_length_c 7.0698
_cell_angle_alpha 90.00
_cell_angle_beta 110.45
_cell_angle_gamma 90.00
loop_
_atom_site_label
_atom_site_fract_x
_atom_site_fract_y
_atom_site_fract_z
K1 0.0000 0.1194 0.2500
Dy1 0.0000 0.4076 0.7500
C1 0.2297 0.3736 0.2488
O1 0.0829 0.3830 0.1011
O2 0.1758 0.2321 0.7341
O3 0.2326 0.0249 0.6230
```

Peak list (10 most intense, 2θ from 10° to 90°, by angle)
d = 6.137 Å, I 100
d = 5.264 Å, I 19
d = 3.985 Å, I 32
d = 3.895 Å, I 37
d = 3.312 Å, I 70
d = 3.123 Å, I 76
d = 2.536 Å, I 26
d = 2.122 Å, I 16
d = 2.077 Å, I 29
d = 2.007 Å, I 15

K2DyPCO7: computed powder X-ray diffraction pattern (Cu Kα (λ = 1.5418 Å)), based on a structure optimized by DFT (GGA-PBE).
Peak positions follow from Bragg's law for the DFT cell and can differ from measured ones.

Structure:
```
data_K2DyPCO7
_chemical_formula_sum 'K4 Dy2 P2 C2 O14'
_symmetry_space_group_name_H-M 'P 1 21/m 1'
_symmetry_Int_Tables_number 11
_symmetry_space_group_name_Hall '-P 2yb'
_cell_length_a 5.8414
_cell_length_b 7.1459
_cell_length_c 9.9924
_cell_angle_alpha 90.00
_cell_angle_beta 91.93
_cell_angle_gamma 90.00
loop_
_atom_site_label
_atom_site_fract_x
_atom_site_fract_y
_atom_site_fract_z
K1 0.2471 0.0114 0.2212
Dy1 0.2194 0.2500 0.6320
P1 0.2892 0.7500 0.5691
C1 0.2710 0.2500 0.9067
O1 0.0667 0.2500 0.8460
O2 0.1521 0.7500 0.4313
O3 0.2299 0.5703 0.6476
O4 0.3016 0.2500 0.0316
O5 0.4444 0.2500 0.8234
O6 0.4484 0.2500 0.4584
```

Peak list (10 most intense, 2θ from 10° to 90°, by angle)
d = 5.812 Å, I 100
d = 4.521 Å, I 82
d = 4.089 Å, I 32
d = 3.860 Å, I 47
d = 3.733 Å, I 63
d = 3.573 Å, I 37
d = 2.930 Å, I 69
d = 2.919 Å, I 49
d = 2.902 Å, I 60
d = 2.851 Å, I 30

La3DyC8: computed powder X-ray diffraction pattern (Cu Kα (λ = 1.5418 Å)), based on a structure optimized by DFT (GGA-PBE).
Peak positions follow from Bragg's law for the DFT cell and can differ from measured ones.

Structure:
```
data_La3DyC8
_chemical_formula_sum 'La3 Dy1 C8'
_symmetry_space_group_name_H-M 'P 4/m m m'
_symmetry_Int_Tables_number 123
_symmetry_space_group_name_Hall '-P 4 2'
_cell_length_a 3.9011
_cell_length_b 3.9011
_cell_length_c 12.9404
_cell_angle_alpha 90.00
_cell_angle_beta 90.00
_cell_angle_gamma 90.00
loop_
_atom_site_label
_atom_site_fract_x
_atom_site_fract_y
_atom_site_fract_z
La1 0.0000 0.0000 0.0000
La2 0.5000 0.5000 0.2501
Dy1 0.0000 0.0000 0.5000
C1 0.0000 0.0000 0.2056
C2 0.0000 0.0000 0.3062
C3 0.5000 0.5000 0.0502
C4 0.5000 0.5000 0.4500
```

Peak list (10 most intense, 2θ from 10° to 90°, by angle)
d = 3.341 Å, I 100
d = 3.235 Å, I 34
d = 2.758 Å, I 54
d = 2.099 Å, I 40
d = 1.951 Å, I 19
d = 1.887 Å, I 29
d = 1.684 Å, I 30
d = 1.670 Å, I 19
d = 1.356 Å, I 19
d = 1.153 Å, I 11

La4DyC10: computed powder X-ray diffraction pattern (Cu Kα (λ = 1.5418 Å)), based on a structure optimized by DFT (GGA-PBE).
Peak positions follow from Bragg's law for the DFT cell and can differ from measured ones.

Structure:
```
data_La4DyC10
_chemical_formula_sum 'La16 Dy4 C40'
_symmetry_space_group_name_H-M 'F m m m'
_symmetry_Int_Tables_number 69
_symmetry_space_group_name_Hall '-F 2 2'
_cell_length_a 5.5494
_cell_length_b 6.5109
_cell_length_c 27.3430
_cell_angle_alpha 90.00
_cell_angle_beta 90.00
_cell_angle_gamma 90.00
loop_
_atom_site_label
_atom_site_fract_x
_atom_site_fract_y
_atom_site_fract_z
La1 0.0000 0.0000 0.0994
La2 0.0000 0.0000 0.3002
Dy1 0.0000 0.0000 0.5000
C1 0.0000 0.1001 0.0000
C2 0.0000 0.0996 0.2000
C3 0.0000 0.0996 0.4029
```

Peak list (10 most intense, 2θ from 10° to 90°, by angle)
d = 3.343 Å, I 100
d = 3.255 Å, I 35
d = 2.775 Å, I 27
d = 2.734 Å, I 26
d = 2.112 Å, I 20
d = 2.094 Å, I 20
d = 1.948 Å, I 19
d = 1.896 Å, I 29
d = 1.692 Å, I 15
d = 1.671 Å, I 19

Li2DyPCO7: computed powder X-ray diffraction pattern (Cu Kα (λ = 1.5418 Å)), based on a structure optimized by DFT (GGA-PBE).
Peak positions follow from Bragg's law for the DFT cell and can differ from measured ones.

Structure:
```
data_Li2DyPCO7
_chemical_formula_sum 'Li4 Dy2 P2 C2 O14'
_symmetry_space_group_name_H-M 'P 1 21/m 1'
_symmetry_Int_Tables_number 11
_symmetry_space_group_name_Hall '-P 2yb'
_cell_length_a 4.9226
_cell_length_b 6.7634
_cell_length_c 9.1396
_cell_angle_alpha 90.00
_cell_angle_beta 93.36
_cell_angle_gamma 90.00
loop_
_atom_site_label
_atom_site_fract_x
_atom_site_fract_y
_atom_site_fract_z
Li1 0.1996 0.0184 0.3010
Dy1 0.2616 0.2500 0.8658
P1 0.2716 0.7500 0.9052
C1 0.2576 0.2500 0.5648
O1 0.0267 0.2500 0.6293
O2 0.1374 0.5645 0.8346
O3 0.2385 0.7500 0.0757
O4 0.2704 0.2500 0.4264
O5 0.4152 0.2500 0.1096
O6 0.4788 0.2500 0.6540
```

Peak list (10 most intense, 2θ from 10° to 90°, by angle)
d = 5.433 Å, I 100
d = 4.436 Å, I 59
d = 4.224 Å, I 38
d = 3.976 Å, I 84
d = 3.446 Å, I 61
d = 3.382 Å, I 91
d = 3.250 Å, I 40
d = 2.689 Å, I 31
d = 2.342 Å, I 32
d = 2.021 Å, I 31